Theoretical PXRD pattern
Compound: Ac3Sm12Mg
Radiation: Cu Ka
Structure: a crystal structure in Alexandria, relaxed with PBE
Peak positions follow from Bragg's law for the DFT cell and can differ from measured ones.

Structure:
Lattice parameters (Å, degrees): 5.201 5.201 20.695 90.00 90.00 90.00
Atoms (fractional coordinates):
Ac 0.000 0.000 0.000
Ac 0.000 0.000 0.255
Ac 0.000 0.000 0.745
Sm 0.000 0.500 0.128
Sm 0.000 0.500 0.383
Sm 0.000 0.500 0.617
Sm 0.000 0.500 0.872
Sm 0.500 0.000 0.128
Sm 0.500 0.000 0.383
Sm 0.500 0.000 0.617
Sm 0.500 0.000 0.872
Sm 0.500 0.500 0.000
Sm 0.500 0.500 0.259
Sm 0.500 0.500 0.500
Sm 0.500 0.500 0.741
Mg 0.000 0.000 0.500

Top 10 peaks for 2θ = 10–90°, by angle:
two_theta	I (rel.)	(hkl)
29.8	100	1 1 4
34.5	35	2 0 0
34.7	16	0 0 8
49.6	13	2 2 0
49.7	23	2 0 8
58.9	29	3 1 4
59.2	13	1 1 12
61.9	12	2 2 8
80.5	6	3 3 4
80.7	11	3 1 12